# Zn2SCl
Computed XRD peak list, CuKα. Input: a PBE-relaxed structure.

```
Zn2SCl
1.0
4.0881 0.0000 0.0000
-2.0441 3.5404 0.0000
0.0000 0.0000 19.8541
Zn S Cl
6 3 3
Cartesian
-1.3539 2.3603 4.2946 Zn
0.6769 1.1877 17.5306 Zn
0.6901 1.1801 2.3234 Zn
0.6770 3.5328 10.9126 Zn
2.7211 0.0076 15.5595 Zn
2.7210 2.3527 8.9415 Zn
-1.3676 2.3687 16.5450 S
0.6765 1.1717 9.9270 S
2.7352 0.0000 3.3090 S
-1.3586 2.3532 6.6180 Cl
0.6854 1.1872 0.0000 Cl
2.7173 0.0000 13.2360 Cl
```

Most intense lines, 5 to 70 degrees two-theta, sorted by position:
Position (°2θ), I_rel, (hkl)
13.38, 86, 0 0 3
25.56, 100, 1 0 1
26.73, 56, 0 1 2
31.03, 25, 1 0 4
33.92, 59, 0 1 5
44.31, 82, 1 1 0
44.59, 72, 0 1 8
46.50, 22, 1 1 3
61.88, 25, 1 1 9
64.68, 22, 2 0 8